This entry pairs a crystal structure of MnTl3In3Br8 with its calculated powder XRD pattern. Radiation: Cu Kα. Structure: a cell relaxed with GGA-PBE.
Kinematic intensities with the Lorentz-polarization factor, no thermal factor.

Structure:
Lattice parameters (Å, degrees): 9.3578 9.3578 9.3578 59.82 59.82 59.82
Element x y z (fractional)
Mn 0.0000 0.0000 0.0000
Tl 0.0000 0.0000 0.5000
Tl 0.0000 0.5000 0.0000
Tl 0.5000 0.0000 0.0000
In 0.0000 0.5000 0.5000
In 0.5000 0.0000 0.5000
In 0.5000 0.5000 0.0000
Br 0.2081 0.2081 0.7900
Br 0.2081 0.7900 0.2081
Br 0.2100 0.7919 0.7919
Br 0.2511 0.2511 0.2511
Br 0.7489 0.7489 0.7489
Br 0.7900 0.2081 0.2081
Br 0.7919 0.2100 0.7919
Br 0.7919 0.7919 0.2100

Largest 10 diffraction maxima, by angle, 10 to 80 degrees two-theta:
2θ 11.61, rel. 20
2θ 23.32, rel. 13
2θ 26.99, rel. 100
2θ 30.24, rel. 12
2θ 38.48, rel. 34
2θ 38.59, rel. 35
2θ 47.72, rel. 17
2θ 62.82, rel. 13
2θ 62.97, rel. 13
2θ 69.78, rel. 13